Starting from DFT lattice parameters and positions (GGA-PBE), the X-ray powder pattern of PuNbOs was simulated for Cu Kα (λ = 1.5418 Å).
Intensities are scaled so that the largest is 100.

Crystal structure
```
data_PuNbOs
_symmetry_space_group_name_H-M 'P 1'
_symmetry_Int_Tables_number 1
_cell_length_a 3.168
_cell_length_b 3.168
_cell_length_c 11.494
_cell_angle_alpha 90.00
_cell_angle_beta 90.00
_cell_angle_gamma 90.00
loop_
_symmetry_equiv_pos_as_xyz
'x,y,z'
loop_
_atom_site_label
_atom_site_type_symbol
_atom_site_fract_x
_atom_site_fract_y
_atom_site_fract_z
Pu1 Pu 0.000 0.000 0.000
Pu2 Pu 0.500 0.500 0.500
Nb1 Nb 0.000 0.000 0.307
Nb2 Nb 0.500 0.500 0.807
Os1 Os 0.000 0.000 0.679
Os2 Os 0.500 0.500 0.179
```

The 6 most intense peaks (2θ from 15° to 90°), low angle first:
(hkl)	2θ/deg	d (Å)	Rel. int.
1 0 1	29.24	3.054	14.7
1 0 3	36.81	2.441	100.0
1 1 0	40.26	2.240	41.8
2 0 0	58.25	1.584	14.4
1 1 6	63.91	1.457	25.0
2 1 3	70.92	1.329	30.1